No. 1
Structure and theoretical PXRD pattern of Zn2In2O5 (a crystal structure in the Materials Project, relaxed with GGA-PBE; Cu Kα).

Largest 6 diffraction maxima, by angle, 2θ from 10° to 90°:
- 30.64°, I = 100
- 30.84°, I = 69
- 31.86°, I = 90
- 49.59°, I = 43
- 52.59°, I = 65
- 62.21°, I = 52

Atomic structure:
abc: 3.481 3.481 23.198
angles: 90.00 90.00 120.00
Fractional positions:
Zn 0.333 0.667 0.000
Zn 0.333 0.667 0.239
Zn 0.667 0.333 0.500
Zn 0.667 0.333 0.739
In 0.000 0.000 0.369
In 0.000 0.000 0.869
In 0.333 0.667 0.621
In 0.667 0.333 0.121
O 0.333 0.667 0.125
O 0.333 0.667 0.325
O 0.333 0.667 0.526
O 0.333 0.667 0.717
O 0.333 0.667 0.915
O 0.667 0.333 0.026
O 0.667 0.333 0.217
O 0.667 0.333 0.415
O 0.667 0.333 0.625
O 0.667 0.333 0.825


No. 2
Structure and theoretical PXRD pattern of Er2AlNi2 (a crystal structure in the Materials Project, relaxed with GGA-PBE; Cu Kα).

Largest 6 diffraction maxima, by angle, 2θ from 10° to 90°:
- 27.30°, I = 77
- 35.07°, I = 100
- 39.44°, I = 46
- 40.20°, I = 47
- 41.70°, I = 38
- 43.89°, I = 31

Atomic structure:
abc: 5.325 5.325 5.325
angles: 134.42 119.67 78.77
Fractional positions:
Er 0.203 0.203 0.000
Er 0.797 0.797 0.000
Al 0.500 0.000 0.500
Ni 0.230 0.500 0.730
Ni 0.770 0.500 0.270


No. 3
Structure and theoretical PXRD pattern of Cu (a crystal structure in the Materials Project, relaxed with GGA-PBE; Cu Kα).

Largest 6 diffraction maxima, by angle, 2θ from 10° to 90°:
- 40.84°, I = 25
- 43.18°, I = 28
- 46.47°, I = 100
- 60.94°, I = 14
- 74.37°, I = 15
- 81.54°, I = 17

Atomic structure:
abc: 2.551 2.551 4.190
angles: 90.00 90.00 120.00
Fractional positions:
Cu 0.333 0.667 0.250
Cu 0.667 0.333 0.750


No. 4
Structure and theoretical PXRD pattern of InCu3N3 (a crystal structure in the Materials Project, relaxed with GGA-PBE; Cu Kα).

Largest 6 diffraction maxima, by angle, 2θ from 10° to 90°:
- 20.48°, I = 15
- 35.87°, I = 100
- 41.65°, I = 79
- 60.37°, I = 48
- 72.26°, I = 37
- 76.02°, I = 15

Atomic structure:
abc: 4.337 4.337 4.337
angles: 90.00 90.00 90.00
Fractional positions:
In 0.000 0.000 0.000
Cu 0.000 0.500 0.500
Cu 0.500 0.000 0.500
Cu 0.500 0.500 0.000
N 0.000 0.000 0.500
N 0.000 0.500 0.000
N 0.500 0.000 0.000


No. 5
Structure and theoretical PXRD pattern of Ce3SiPd5 (a crystal structure in the Materials Project, relaxed with GGA-PBE; Cu Kα).

Largest 6 diffraction maxima, by angle, 2θ from 10° to 90°:
- 33.65°, I = 24
- 34.08°, I = 100
- 36.26°, I = 49
- 36.81°, I = 56
- 38.72°, I = 16
- 41.46°, I = 16

Atomic structure:
abc: 8.395 8.395 8.395
angles: 128.22 77.79 126.35
Fractional positions:
Ce 0.118 0.868 0.250
Ce 0.276 0.226 0.050
Ce 0.323 0.774 0.550
Ce 0.677 0.226 0.450
Ce 0.724 0.774 0.950
Ce 0.882 0.132 0.750
Si 0.283 0.533 0.750
Si 0.717 0.467 0.250
Pd 0.042 0.235 0.403
Pd 0.042 0.640 0.808
Pd 0.332 0.235 0.692
Pd 0.332 0.640 0.097
Pd 0.500 0.000 0.000
Pd 0.500 0.500 0.500
Pd 0.668 0.360 0.903
Pd 0.668 0.765 0.308
Pd 0.958 0.360 0.192
Pd 0.958 0.765 0.597


No. 6
Structure and theoretical PXRD pattern of Sc11Os4 (a crystal structure in the Materials Project, relaxed with GGA-PBE; Cu Kα).

Largest 6 diffraction maxima, by angle, 2θ from 10° to 90°:
- 23.02°, I = 81
- 26.64°, I = 31
- 38.04°, I = 100
- 44.93°, I = 55
- 68.72°, I = 24
- 85.94°, I = 23

Atomic structure:
abc: 9.463 9.463 9.463
angles: 60.00 60.00 60.00
Fractional positions:
Sc 0.148 0.617 0.617
Sc 0.156 0.156 0.156
Sc 0.156 0.156 0.533
Sc 0.156 0.533 0.156
Sc 0.199 0.199 0.801
Sc 0.199 0.801 0.199
Sc 0.199 0.801 0.801
Sc 0.383 0.383 0.383
Sc 0.383 0.383 0.852
Sc 0.383 0.852 0.383
Sc 0.467 0.844 0.844
Sc 0.533 0.156 0.156
Sc 0.617 0.148 0.617
Sc 0.617 0.617 0.148
Sc 0.617 0.617 0.617
Sc 0.801 0.199 0.199
Sc 0.801 0.199 0.801
Sc 0.801 0.801 0.199
Sc 0.844 0.467 0.844
Sc 0.844 0.844 0.467
Sc 0.844 0.844 0.844
Sc 0.852 0.383 0.383
Os 0.000 0.000 0.000
Os 0.000 0.000 0.500
Os 0.000 0.500 0.000
Os 0.000 0.500 0.500
Os 0.500 0.000 0.000
Os 0.500 0.000 0.500
Os 0.500 0.500 0.000
Os 0.500 0.500 0.500


Copy entry 6 word for word.
Structure and theoretical PXRD pattern of Sc11Os4 (a crystal structure in the Materials Project, relaxed with GGA-PBE; Cu Kα).

Largest 6 diffraction maxima, by angle, 2θ from 10° to 90°:
- 23.02°, I = 81
- 26.64°, I = 31
- 38.04°, I = 100
- 44.93°, I = 55
- 68.72°, I = 24
- 85.94°, I = 23

Atomic structure:
abc: 9.463 9.463 9.463
angles: 60.00 60.00 60.00
Fractional positions:
Sc 0.148 0.617 0.617
Sc 0.156 0.156 0.156
Sc 0.156 0.156 0.533
Sc 0.156 0.533 0.156
Sc 0.199 0.199 0.801
Sc 0.199 0.801 0.199
Sc 0.199 0.801 0.801
Sc 0.383 0.383 0.383
Sc 0.383 0.383 0.852
Sc 0.383 0.852 0.383
Sc 0.467 0.844 0.844
Sc 0.533 0.156 0.156
Sc 0.617 0.148 0.617
Sc 0.617 0.617 0.148
Sc 0.617 0.617 0.617
Sc 0.801 0.199 0.199
Sc 0.801 0.199 0.801
Sc 0.801 0.801 0.199
Sc 0.844 0.467 0.844
Sc 0.844 0.844 0.467
Sc 0.844 0.844 0.844
Sc 0.852 0.383 0.383
Os 0.000 0.000 0.000
Os 0.000 0.000 0.500
Os 0.000 0.500 0.000
Os 0.000 0.500 0.500
Os 0.500 0.000 0.000
Os 0.500 0.000 0.500
Os 0.500 0.500 0.000
Os 0.500 0.500 0.500